No. 1
Computed powder X-ray diffraction pattern
Compound: Hf2BeB3
Radiation: Cu Kα, 1.54184 Å
Structure: a crystal structure in Alexandria, relaxed with GGA-PBE
Peak positions follow from Bragg's law for the DFT cell and can differ from measured ones.

Atomic structure:
```
Hf2BeB3
1.0
3.250 0.000 0.000
0.000 3.451 0.000
0.000 0.000 5.661
Hf Be B
2 1 3
Direct
0.000 0.000 0.000
0.500 0.000 0.492
0.000 0.500 0.665
0.000 0.500 0.321
0.500 0.500 0.160
0.500 0.500 0.841
```

Top 6 peaks for 2θ from 10° to 90°, by intensity:
Position (°2θ), d_spacing, I_rel
41.36, 2.183, 100
31.75, 2.818, 86
25.81, 3.451, 65
41.25, 2.189, 50
31.61, 2.831, 44
63.21, 1.471, 36

=====

No. 2
Computed powder X-ray diffraction pattern
Compound: Hf4Be2B
Radiation: Cu Kα, 1.54184 Å
Structure: a crystal structure in Alexandria, relaxed with GGA-PBE
Peak positions follow from Bragg's law for the DFT cell and can differ from measured ones.

Atomic structure:
```
Hf4Be2B
1.0
-2.244 2.244 6.193
2.244 -2.244 6.193
2.244 2.244 -6.193
Hf Be B
4 2 1
Direct
0.000 0.500 0.500
0.185 0.185 0.000
0.500 0.000 0.500
0.815 0.815 0.000
0.388 0.388 0.000
0.612 0.612 0.000
0.000 0.000 0.000
```

Top 6 peaks for 2θ from 10° to 90°, by intensity:
Position (°2θ), d_spacing, I_rel
31.68, 2.824, 100
40.19, 2.244, 41
29.40, 3.038, 36
67.75, 1.383, 23
40.71, 2.216, 22
60.99, 1.519, 18

=====

No. 3
Computed powder X-ray diffraction pattern
Compound: Ho2BeB10
Radiation: Cu Kα, 1.54184 Å
Structure: a crystal structure in Alexandria, relaxed with GGA-PBE
Peak positions follow from Bragg's law for the DFT cell and can differ from measured ones.

Atomic structure:
```
Ho2BeB10
1.0
5.527 0.000 0.000
0.000 10.907 0.000
0.000 0.000 4.114
Ho Be B
4 2 20
Direct
0.194 0.134 0.000
0.306 0.634 0.000
0.694 0.366 0.000
0.806 0.866 0.000
0.000 0.500 0.500
0.500 0.000 0.500
0.022 0.315 0.500
0.128 0.960 0.500
0.167 0.802 0.500
0.195 0.389 0.200
0.195 0.389 0.800
0.305 0.889 0.200
0.305 0.889 0.800
0.333 0.302 0.500
0.372 0.460 0.500
0.478 0.815 0.500
0.522 0.185 0.500
0.628 0.540 0.500
0.667 0.698 0.500
0.695 0.111 0.200
0.695 0.111 0.800
0.805 0.611 0.200
0.805 0.611 0.800
0.833 0.198 0.500
0.872 0.040 0.500
0.978 0.685 0.500
```

Top 6 peaks for 2θ from 10° to 90°, by intensity:
Position (°2θ), d_spacing, I_rel
31.69, 2.823, 100
22.91, 3.882, 73
21.60, 4.114, 50
50.20, 1.817, 35
39.66, 2.273, 33
32.85, 2.727, 26

=====

No. 4
Computed powder X-ray diffraction pattern
Compound: HoBe2BIr
Radiation: Cu Kα, 1.54184 Å
Structure: a crystal structure in Alexandria, relaxed with GGA-PBE
Peak positions follow from Bragg's law for the DFT cell and can differ from measured ones.

Atomic structure:
```
HoBe2BIr
1.0
-1.776 1.824 4.944
1.776 -1.824 4.944
1.776 1.824 -4.944
Ho Be B Ir
1 2 1 1
Direct
0.000 0.000 0.000
0.622 0.622 0.000
0.766 0.266 0.500
0.385 0.385 0.000
0.261 0.761 0.500
```

Top 6 peaks for 2θ from 10° to 90°, by intensity:
Position (°2θ), d_spacing, I_rel
39.83, 2.263, 100
26.66, 3.344, 66
26.03, 3.423, 63
36.75, 2.446, 36
36.34, 2.472, 29
37.21, 2.416, 24